(1)
The following is a theoretical X-ray diffraction stick pattern of HfCr2O6. It was derived from a crystal structure in Alexandria, relaxed with PBE+U, using CuKα.
Intensities are scaled so that the largest is 100.

Largest 10 diffraction maxima, in order of falling intensity, 2θ from 10° to 90°:
2θ (°), intensity
28.70, 100
28.24, 52
20.50, 30
36.37, 28
55.11, 17
35.65, 14
46.15, 14
54.63, 14
46.69, 13
20.90, 12

Cell and atoms:
abc: 5.037 8.503 4.549
angles: 90.00 90.95 90.00
Space group C2/m (No. 12)
One atom of each set of equivalent atoms:
1 Hf 0.000 0.000 0.000 (multiplicity 2)
2 Cr 0.000 0.329 0.500 (multiplicity 4)
3 O 0.161 0.500 0.728 (multiplicity 4)
4 O 0.170 0.175 0.733 (multiplicity 8)



(2)
The following is a theoretical X-ray diffraction stick pattern of HfCrPb2O6. It was derived from a crystal structure in Alexandria, relaxed with PBE+U, using CuKα.
Intensities are scaled so that the largest is 100.

Largest 10 diffraction maxima, in order of falling intensity, 2θ from 10° to 90°:
2θ (°), intensity
30.80, 100
31.44, 48
55.57, 39
45.06, 26
54.36, 20
64.16, 13
38.23, 12
43.16, 11
15.57, 9
88.60, 9

Cell and atoms:
abc: 5.691 5.691 4.192
angles: 90.00 90.00 90.00
Space group P4mm (No. 99)
One atom of each set of equivalent atoms:
1 Hf 0.000 0.000 0.000 (multiplicity 1)
2 Cr 0.500 0.500 0.999 (multiplicity 1)
3 Pb 0.000 0.500 0.435 (multiplicity 2)
4 O 0.000 0.000 0.524 (multiplicity 1)
5 O 0.257 0.257 0.063 (multiplicity 4)
6 O 0.500 0.500 0.568 (multiplicity 1)



(3)
The following is a theoretical X-ray diffraction stick pattern of RbHf2Cr2O7. It was derived from a crystal structure in Alexandria, relaxed with PBE+U, using CuKα.
Intensities are scaled so that the largest is 100.

Largest 10 diffraction maxima, in order of falling intensity, 2θ from 10° to 90°:
2θ (°), intensity
26.06, 100
33.23, 96
21.67, 78
55.31, 46
29.96, 44
31.69, 41
42.80, 37
42.96, 37
41.20, 36
36.44, 34

Cell and atoms:
abc: 4.210 4.225 17.528
angles: 90.00 90.00 90.00
Space group Immm (No. 71)
One atom of each set of equivalent atoms:
1 Rb 0.000 0.000 0.000 (multiplicity 2)
2 Hf 0.000 0.000 0.385 (multiplicity 4)
3 Cr 0.000 0.500 0.250 (multiplicity 4)
4 O 0.000 0.000 0.260 (multiplicity 4)
5 O 0.000 0.000 0.500 (multiplicity 2)
6 O 0.000 0.500 0.132 (multiplicity 4)
7 O 0.000 0.500 0.369 (multiplicity 4)



(4)
The following is a theoretical X-ray diffraction stick pattern of HfTaCrO6. It was derived from a crystal structure in Alexandria, relaxed with PBE+U, using CuKα.
Intensities are scaled so that the largest is 100.

Largest 10 diffraction maxima, in order of falling intensity, 2θ from 10° to 90°:
2θ (°), intensity
26.46, 100
34.39, 80
51.99, 65
66.04, 34
20.93, 28
37.77, 24
54.48, 16
61.56, 16
78.65, 14
32.77, 10

Cell and atoms:
abc: 4.764 4.764 9.349
angles: 90.00 90.00 90.00
Space group P4_2nm (No. 102)
One atom of each set of equivalent atoms:
1 Hf 0.000 0.000 0.000 (multiplicity 2)
2 Ta 0.000 0.000 0.665 (multiplicity 2)
3 Cr 0.000 0.000 0.331 (multiplicity 2)
4 O 0.190 0.190 0.500 (multiplicity 4)
5 O 0.197 0.197 0.824 (multiplicity 4)
6 O 0.200 0.200 0.167 (multiplicity 4)



(5)
The following is a theoretical X-ray diffraction stick pattern of HfTl2CrO6. It was derived from a crystal structure in Alexandria, relaxed with PBE+U, using CuKα.
Intensities are scaled so that the largest is 100.

Largest 10 diffraction maxima, in order of falling intensity, 2θ from 10° to 90°:
2θ (°), intensity
31.27, 100
31.87, 93
45.25, 46
56.41, 40
56.78, 23
55.26, 19
75.41, 16
22.18, 16
74.43, 16
65.22, 13

Cell and atoms:
abc: 5.6164 5.6164 14.1498
angles: 90.00 90.00 120.00
Space group R3 (No. 146, hexagonal axes)
One atom of each set of equivalent atoms:
1 Hf 0.0000 0.0000 0.0000 (multiplicity 3)
2 Tl 0.0000 0.0000 0.2414 (multiplicity 3)
3 Tl 0.0000 0.0000 0.7318 (multiplicity 3)
4 Cr 0.0000 0.0000 0.5030 (multiplicity 3)
5 O 0.0152 0.5813 0.2566 (multiplicity 9)
6 O 0.0613 0.3352 0.0900 (multiplicity 9)



(6)
The following is a theoretical X-ray diffraction stick pattern of HfUCrO6. It was derived from a crystal structure in Alexandria, relaxed with PBE+U, using CuKα.
Intensities are scaled so that the largest is 100.

Largest 10 diffraction maxima, in order of falling intensity, 2θ from 10° to 90°:
2θ (°), intensity
27.67, 100
32.58, 83
38.67, 81
20.26, 66
53.48, 62
18.64, 40
43.26, 30
55.18, 29
58.13, 28
62.22, 21

Cell and atoms:
abc: 5.4968 5.4968 8.7645
angles: 90.00 90.00 120.00
Space group P-31c (No. 163)
One atom of each set of equivalent atoms:
1 Hf 0.3333 0.6667 0.2500 (multiplicity 2)
2 U 0.3333 0.6667 0.7500 (multiplicity 2)
3 Cr 0.0000 0.0000 0.0000 (multiplicity 2)
4 O 0.0063 0.3360 0.1286 (multiplicity 12)